No. 1
Computed powder X-ray diffraction pattern
Compound: Nb8Zn2C3N3
Radiation: Cu Ka
Structure: a PBE-relaxed structure
Intensities are scaled so that the largest is 100.

Most intense lines, 10° ≤ 2θ ≤ 90°, in order of falling intensity:
40.05 deg, d = 2.251 Å, rel. 100; 38.00 deg, d = 2.368 Å, rel. 78; 58.84 deg, d = 1.569 Å, rel. 46; 36.25 deg, d = 2.478 Å, rel. 41; 37.30 deg, d = 2.411 Å, rel. 38; 71.77 deg, d = 1.315 Å, rel. 33; 33.16 deg, d = 2.701 Å, rel. 23; 33.80 deg, d = 2.652 Å, rel. 23

Structure:
Lattice parameters (Å, degrees): 3.139 3.139 24.105 90.00 90.00 120.00
Element x y z (fractional)
Nb 0.000 0.000 0.158
Nb 0.000 0.000 0.341
Nb 0.000 0.000 0.659
Nb 0.000 0.000 0.842
Nb 0.333 0.667 0.556
Nb 0.333 0.667 0.946
Nb 0.667 0.333 0.054
Nb 0.667 0.333 0.444
Zn 0.333 0.667 0.751
Zn 0.667 0.333 0.249
C 0.000 0.000 0.500
C 0.333 0.667 0.389
C 0.667 0.333 0.611
N 0.000 0.000 0.000
N 0.333 0.667 0.108
N 0.667 0.333 0.892

=====

No. 2
Computed powder X-ray diffraction pattern
Compound: Pt2Se3S
Radiation: Cu Ka
Structure: a PBE-relaxed structure
Intensities are scaled so that the largest is 100.

Most intense lines, 10° ≤ 2θ ≤ 90°, in order of falling intensity:
15.82 deg, d = 5.602 Å, rel. 100; 35.15 deg, d = 2.553 Å, rel. 97; 40.46 deg, d = 2.229 Å, rel. 96; 29.02 deg, d = 3.077 Å, rel. 85; 31.18 deg, d = 2.869 Å, rel. 76; 51.08 deg, d = 1.788 Å, rel. 62; 46.76 deg, d = 1.943 Å, rel. 57; 37.66 deg, d = 2.389 Å, rel. 53

Structure:
Lattice parameters (Å, degrees): 3.588 3.588 22.408 90.00 90.00 59.99
Element x y z (fractional)
Pt 0.000 0.000 0.000
Pt 0.500 0.500 0.496
Se 0.333 0.333 0.067
Se 0.333 0.333 0.933
Se 0.833 0.833 0.565
S 0.833 0.833 0.439

=====

No. 3
Computed powder X-ray diffraction pattern
Compound: Al8Co5
Radiation: Cu Ka
Structure: a PBE-relaxed structure
Intensities are scaled so that the largest is 100.

Most intense lines, 10° ≤ 2θ ≤ 90°, in order of falling intensity:
42.67 deg, d = 2.119 Å, rel. 100; 35.78 deg, d = 2.509 Å, rel. 81; 45.92 deg, d = 1.976 Å, rel. 46; 47.02 deg, d = 1.932 Å, rel. 42; 75.82 deg, d = 1.255 Å, rel. 23; 72.29 deg, d = 1.307 Å, rel. 22; 69.04 deg, d = 1.360 Å, rel. 21; 43.45 deg, d = 2.083 Å, rel. 19

Structure:
Lattice parameters (Å, degrees): 8.424 8.424 8.424 34.66 34.66 34.66
Element x y z (fractional)
Al 0.049 0.049 0.049
Al 0.088 0.593 0.593
Al 0.407 0.407 0.912
Al 0.407 0.912 0.407
Al 0.593 0.088 0.593
Al 0.593 0.593 0.088
Al 0.912 0.407 0.407
Al 0.951 0.951 0.951
Co 0.148 0.148 0.148
Co 0.330 0.330 0.330
Co 0.500 0.500 0.500
Co 0.670 0.670 0.670
Co 0.852 0.852 0.852

=====

What did the third record say?
Computed powder X-ray diffraction pattern
Compound: Al8Co5
Radiation: Cu Ka
Structure: a PBE-relaxed structure
Intensities are scaled so that the largest is 100.

Most intense lines, 10° ≤ 2θ ≤ 90°, in order of falling intensity:
42.67 deg, d = 2.119 Å, rel. 100; 35.78 deg, d = 2.509 Å, rel. 81; 45.92 deg, d = 1.976 Å, rel. 46; 47.02 deg, d = 1.932 Å, rel. 42; 75.82 deg, d = 1.255 Å, rel. 23; 72.29 deg, d = 1.307 Å, rel. 22; 69.04 deg, d = 1.360 Å, rel. 21; 43.45 deg, d = 2.083 Å, rel. 19

Structure:
Lattice parameters (Å, degrees): 8.424 8.424 8.424 34.66 34.66 34.66
Element x y z (fractional)
Al 0.049 0.049 0.049
Al 0.088 0.593 0.593
Al 0.407 0.407 0.912
Al 0.407 0.912 0.407
Al 0.593 0.088 0.593
Al 0.593 0.593 0.088
Al 0.912 0.407 0.407
Al 0.951 0.951 0.951
Co 0.148 0.148 0.148
Co 0.330 0.330 0.330
Co 0.500 0.500 0.500
Co 0.670 0.670 0.670
Co 0.852 0.852 0.852